Starting from a GGA-PBE-relaxed structure, the X-ray powder pattern of Li3Mg2Tl3 was calculated for Cu Kα X-rays.

Principal peaks in the range 10 to 90 degrees two-theta, in order of falling intensity:
24.11°, d = 3.692 Å, I = 100, hkl 1 1 0
35.21°, d = 2.549 Å, I = 79, hkl 3 1 1
36.04°, d = 2.492 Å, I = 74, hkl 5 1 -1
22.68°, d = 3.921 Å, I = 63, hkl 2 0 1
23.59°, d = 3.771 Å, I = 58, hkl 4 0 -1
37.30°, d = 2.410 Å, I = 34, hkl 2 0 -2

Atomic structure:
```
data_Li3Mg2Tl3
_chemical_formula_sum 'Li6 Mg4 Tl6'
_cell_length_a 19.535
_cell_length_b 3.763
_cell_length_c 4.825
_cell_angle_alpha 90.00
_cell_angle_beta 101.97
_cell_angle_gamma 90.00
_space_group_name_H-M_alt 'C 1 2/m 1'
_space_group_IT_number 12
_space_group_name_Hall '-C 2y'
loop_
_atom_site_label
_atom_site_type_symbol
_atom_site_fract_x
_atom_site_fract_y
_atom_site_fract_z
Li1 Li 0.000 0.000 0.000
Li2 Li 0.121 0.000 0.619
Mg1 Mg 0.245 0.500 0.745
Tl1 Tl 0.000 0.500 0.500
Tl2 Tl 0.129 0.500 0.127
```


Starting from a GGA-PBE-relaxed structure, the X-ray powder pattern of Li2MgTl6 was calculated for Cu Kα X-rays.

Principal peaks in the range 10 to 90 degrees two-theta, in order of falling intensity:
33.05°, d = 2.710 Å, I = 100, hkl 3 0 1
27.41°, d = 3.254 Å, I = 28, hkl 2 1 1
39.05°, d = 2.307 Å, I = 22, hkl 3 3 0
22.33°, d = 3.981 Å, I = 21, hkl 1 1 1
36.94°, d = 2.434 Å, I = 20, hkl 0 0 2
54.84°, d = 1.674 Å, I = 17, hkl 3 3 2

Atomic structure:
```
data_Li2MgTl6
_chemical_formula_sum 'Li4 Mg2 Tl12'
_cell_length_a 9.786
_cell_length_b 9.786
_cell_length_c 4.867
_cell_angle_alpha 90.00
_cell_angle_beta 90.00
_cell_angle_gamma 90.00
_space_group_name_H-M_alt 'P 42/m n m'
_space_group_IT_number 136
_space_group_name_Hall '-P 4n 2n'
loop_
_atom_site_label
_atom_site_type_symbol
_atom_site_fract_x
_atom_site_fract_y
_atom_site_fract_z
Li1 Li 0.199 0.199 0.000
Mg1 Mg 0.000 0.000 0.500
Tl1 Tl 0.027 0.325 0.500
Tl2 Tl 0.134 0.866 0.000
```


Starting from a GGA-PBE-relaxed structure, the X-ray powder pattern of LiMg4Tl3 was calculated for Cu Kα X-rays.

Principal peaks in the range 10 to 90 degrees two-theta, in order of falling intensity:
24.67°, d = 3.609 Å, I = 100, hkl 1 0 4
35.43°, d = 2.533 Å, I = 83, hkl 1 1 0
34.90°, d = 2.571 Å, I = 79, hkl 0 1 8
20.54°, d = 4.324 Å, I = 29, hkl 1 0 1
63.27°, d = 1.470 Å, I = 29, hkl 1 2 8
26.86°, d = 3.319 Å, I = 28, hkl 0 1 5

Atomic structure:
```
data_LiMg4Tl3
_chemical_formula_sum 'Li3 Mg12 Tl9'
_cell_length_a 5.0668
_cell_length_b 5.0668
_cell_length_c 25.3751
_cell_angle_alpha 90.00
_cell_angle_beta 90.00
_cell_angle_gamma 120.00
_space_group_name_H-M_alt 'R -3 m'
_space_group_IT_number 166
_space_group_name_Hall '-R 3 2"'
loop_
_atom_site_label
_atom_site_type_symbol
_atom_site_fract_x
_atom_site_fract_y
_atom_site_fract_z
Li1 Li 0.0000 0.0000 0.0000
Mg1 Mg 0.0000 0.0000 0.1236
Mg2 Mg 0.0000 0.0000 0.3767
Tl1 Tl 0.0000 0.0000 0.2576
Tl2 Tl 0.0000 0.0000 0.5000
```


Starting from a GGA-PBE-relaxed structure, the X-ray powder pattern of LiYMgTl2 was calculated for Cu Kα X-rays.

Principal peaks in the range 10 to 90 degrees two-theta, in order of falling intensity:
25.07°, d = 3.552 Å, I = 100, hkl 0 1 1
35.67°, d = 2.517 Å, I = 58, hkl 1 1 0
35.82°, d = 2.507 Å, I = 50, hkl 0 1 2
64.14°, d = 1.452 Å, I = 29, hkl 3 0 0
14.45°, d = 6.128 Å, I = 25, hkl 0 0 1
44.10°, d = 2.054 Å, I = 23, hkl 2 0 1

Atomic structure:
```
data_LiYMgTl2
_chemical_formula_sum 'Li1 Y1 Mg1 Tl2'
_cell_length_a 5.0338
_cell_length_b 5.0338
_cell_length_c 6.1285
_cell_angle_alpha 90.00
_cell_angle_beta 90.00
_cell_angle_gamma 120.00
_space_group_name_H-M_alt 'P 3 m 1'
_space_group_IT_number 156
_space_group_name_Hall 'P 3 -2"'
loop_
_atom_site_label
_atom_site_type_symbol
_atom_site_fract_x
_atom_site_fract_y
_atom_site_fract_z
Li1 Li 0.0000 0.0000 0.0000
Y1 Y 0.3333 0.6667 0.6681
Mg1 Mg 0.6667 0.3333 0.3410
Tl1 Tl 0.0000 0.0000 0.4684
Tl2 Tl 0.6667 0.3333 0.8715
```


Starting from a GGA-PBE-relaxed structure, the X-ray powder pattern of LiTm2Mg4 was calculated for Cu Kα X-rays.

Principal peaks in the range 10 to 90 degrees two-theta, in order of falling intensity:
30.33°, d = 2.947 Å, I = 100, hkl 1 5 0
33.79°, d = 2.652 Å, I = 76, hkl 1 7 0
35.70°, d = 2.515 Å, I = 72, hkl 0 8 1
38.54°, d = 2.336 Å, I = 64, hkl 1 3 1
26.15°, d = 3.408 Å, I = 63, hkl 0 0 1
26.84°, d = 3.322 Å, I = 62, hkl 0 2 1

Atomic structure:
```
data_LiTm2Mg4
_chemical_formula_sum 'Li2 Tm4 Mg8'
_cell_length_a 3.390
_cell_length_b 29.816
_cell_length_c 3.408
_cell_angle_alpha 90.00
_cell_angle_beta 90.00
_cell_angle_gamma 90.00
_space_group_name_H-M_alt 'C m m m'
_space_group_IT_number 65
_space_group_name_Hall '-C 2 2'
loop_
_atom_site_label
_atom_site_type_symbol
_atom_site_fract_x
_atom_site_fract_y
_atom_site_fract_z
Li1 Li 0.000 0.000 0.000
Tm1 Tm 0.000 0.299 0.500
Mg1 Mg 0.000 0.124 0.000
Mg2 Mg 0.000 0.442 0.500
```


Starting from a GGA-PBE-relaxed structure, the X-ray powder pattern of Li2TmMg8 was calculated for Cu Kα X-rays.

Principal peaks in the range 10 to 90 degrees two-theta, in order of falling intensity:
11.16°, d = 7.930 Å, I = 100, hkl 0 2 0
22.00°, d = 4.041 Å, I = 78, hkl 2 0 -1
31.62°, d = 2.830 Å, I = 73, hkl 2 4 -1
15.27°, d = 5.803 Å, I = 70, hkl 1 1 0
33.76°, d = 2.655 Å, I = 63, hkl 2 0 -2
33.89°, d = 2.645 Å, I = 60, hkl 0 6 0

Atomic structure:
```
data_Li2TmMg8
_chemical_formula_sum 'Li4 Tm2 Mg16'
_cell_length_a 8.172
_cell_length_b 15.861
_cell_length_c 5.308
_cell_angle_alpha 90.00
_cell_angle_beta 130.26
_cell_angle_gamma 90.00
_space_group_name_H-M_alt 'C 1 2/m 1'
_space_group_IT_number 12
_space_group_name_Hall '-C 2y'
loop_
_atom_site_label
_atom_site_type_symbol
_atom_site_fract_x
_atom_site_fract_y
_atom_site_fract_z
Li1 Li 0.000 0.176 0.000
Tm1 Tm 0.000 0.500 0.500
Mg1 Mg 0.000 0.298 0.500
Mg2 Mg 0.001 0.000 0.755
Mg3 Mg 0.234 0.367 0.234
```